Computed powder X-ray diffraction pattern
Compound: TlZn2Fe
Radiation: Cu Kα X-rays
Structure: the PBE geometry in Alexandria
Neutral-atom scattering factors, no anomalous dispersion.

Structural model:
```
4
Lattice="2.974 0.000 0.000 0.000 2.974 0.000 0.000 0.000 8.144" Properties=species:S:1:pos:R:3 pbc="T T T"
Tl 0.000 0.000 0.000
Zn 1.487 1.487 2.569
Zn 1.487 1.487 5.576
Fe 0.000 0.000 4.072
```

Most intense lines, 15 to 90 degrees two-theta, sorted by position:
hkl, 2theta, d/Å, Rel. int.
0 0 2, 21.8, 4.072, 20
1 0 1, 32.0, 2.794, 46
0 0 3, 33.0, 2.715, 21
1 0 2, 37.4, 2.402, 100
1 1 0, 43.0, 2.103, 43
1 0 4, 54.6, 1.680, 19
1 1 3, 55.3, 1.663, 20
2 0 0, 62.4, 1.487, 14
1 1 4, 63.6, 1.463, 12
2 1 2, 75.1, 1.264, 25

Computed powder X-ray diffraction pattern
Compound: SmTm3Ga2
Radiation: Cu Kα X-rays
Structure: the PBE geometry in Alexandria
Neutral-atom scattering factors, no anomalous dispersion.

Structural model:
```
12
Lattice="4.882 0.000 0.000 0.000 9.440 0.000 0.000 0.000 6.600" Properties=species:S:1:pos:R:3 pbc="T T T"
Sm 0.000 0.468 0.000
Sm 0.000 8.972 3.300
Tm 0.000 3.048 4.128
Tm 0.000 6.392 0.828
Tm 2.441 1.783 1.928
Tm 2.441 4.221 6.076
Tm 2.441 5.219 2.777
Tm 2.441 7.657 5.228
Ga 0.000 3.438 1.134
Ga 0.000 6.002 4.434
Ga 2.441 1.313 4.907
Ga 2.441 8.126 1.607
```

Most intense lines, 15 to 90 degrees two-theta, sorted by position:
hkl, 2theta, d/Å, Rel. int.
1 2 1, 29.6, 3.018, 56
0 3 1, 31.5, 2.840, 32
1 0 2, 32.8, 2.734, 72
0 2 2, 33.1, 2.704, 35
1 3 0, 33.9, 2.645, 100
1 1 2, 34.1, 2.626, 89
2 0 0, 36.8, 2.441, 66
0 3 2, 39.6, 2.277, 29
0 5 1, 50.3, 1.813, 33
1 4 3, 60.6, 1.529, 33

Computed powder X-ray diffraction pattern
Compound: Ce3Hg2Au3
Radiation: Cu Kα X-rays
Structure: the PBE geometry in Alexandria
Neutral-atom scattering factors, no anomalous dispersion.

Structural model:
```
16
Lattice="8.972 0.000 0.000 -4.486 7.770 0.000 0.000 0.000 6.152" Properties=species:S:1:pos:R:3 pbc="T T T"
Ce -1.397 2.420 1.538
Ce -3.089 5.350 4.614
Ce 2.794 0.000 1.538
Ce 1.397 2.420 4.614
Ce 6.178 0.000 4.614
Ce 3.089 5.350 1.538
Hg 0.000 5.180 0.000
Hg 0.000 5.180 3.076
Hg 4.486 2.590 0.000
Hg 4.486 2.590 3.076
Au -1.565 2.710 4.614
Au -2.921 5.060 1.538
Au 3.130 0.000 4.614
Au 1.565 2.710 1.538
Au 5.842 0.000 1.538
Au 2.921 5.060 4.614
```

Most intense lines, 15 to 90 degrees two-theta, sorted by position:
hkl, 2theta, d/Å, Rel. int.
0 0 2, 29.0, 3.076, 10
3 0 0, 34.6, 2.590, 100
1 1 2, 35.4, 2.537, 81
3 0 2, 45.8, 1.981, 16
2 2 2, 50.3, 1.812, 29
3 3 0, 62.1, 1.495, 17
4 1 2, 62.6, 1.485, 30
3 0 4, 71.3, 1.322, 25
6 0 0, 73.1, 1.295, 10
5 2 2, 83.9, 1.153, 14

Computed powder X-ray diffraction pattern
Compound: RbTbTl
Radiation: Cu Kα X-rays
Structure: the PBE geometry in Alexandria
Neutral-atom scattering factors, no anomalous dispersion.

Structural model:
```
12
Lattice="4.090 0.000 0.000 0.000 4.090 0.000 0.000 0.000 30.077" Properties=species:S:1:pos:R:3 pbc="T T T"
Rb 0.000 0.000 2.369
Rb 0.000 0.000 27.708
Rb 2.045 2.045 12.670
Rb 2.045 2.045 17.407
Tb 0.000 0.000 6.406
Tb 0.000 0.000 23.671
Tb 2.045 2.045 8.632
Tb 2.045 2.045 21.445
Tl 0.000 0.000 10.051
Tl 0.000 0.000 20.026
Tl 2.045 2.045 4.987
Tl 2.045 2.045 25.090
```

Most intense lines, 15 to 90 degrees two-theta, sorted by position:
hkl, 2theta, d/Å, Rel. int.
1 0 3, 23.5, 3.787, 17
1 0 7, 30.2, 2.963, 100
1 1 0, 30.9, 2.892, 77
1 1 2, 31.5, 2.840, 27
1 0 9, 34.7, 2.588, 57
2 0 0, 44.3, 2.045, 29
1 0 15, 50.7, 1.800, 21
2 1 7, 54.5, 1.683, 38
2 1 9, 57.4, 1.605, 27
2 1 15, 69.6, 1.351, 17